# ReMoRu2
Simulated XRD peak list, CuKα. Input: a structure optimized by DFT (GGA-PBE).

Most intense lines, 2θ from 15° to 90°, by angle:
Position (°2θ)	I/Imax
16.08	16
40.16	100
40.27	99
46.64	32
46.75	32
46.95	32
68.36	51
82.03	12
82.22	25
82.59	25

Atomic structure:
a = 2.7456 Å, b = 3.8706 Å, c = 5.5134 Å
α = 90.00°, β = 90.12°, γ = 90.00°
Fractional coordinates of all 4 atoms:
Re: 0.0000 0.0000 0.0000
Mo: 0.0000 0.0000 0.5000
Ru: 0.4997 0.5000 0.2448
Ru: 0.5003 0.5000 0.7552